For LiH4CN3, a crystal structure in the Materials Project, relaxed with GGA-PBE gives the theoretical PXRD pattern in this record (Cu Kα (weighted mean of Kα1 and Kα2)).
Kinematic intensities with the Lorentz-polarization factor, no thermal factor.

Structure:
```
LiH4CN3
1.0
7.3357 0.0000 0.0000
0.0000 4.5769 0.0000
-2.0923 0.0000 8.8955
Li H C N
4 16 4 12
Cartesian
0.0902 0.5440 4.2752 Li
-0.9559 1.7444 8.7229 Li
6.1993 2.8325 0.1726 Li
5.1532 4.0328 4.6203 Li
0.1417 2.6008 2.1994 H
-0.9044 4.2645 6.6472 H
1.2672 2.8776 4.3827 H
0.2210 3.9877 8.8304 H
2.3369 0.4811 3.1099 H
1.2907 1.8073 7.5576 H
2.9427 0.5679 1.0298 H
1.8965 1.7205 5.4775 H
3.3469 2.8563 3.4179 H
2.3007 4.0090 7.8657 H
3.9527 2.7696 1.3379 H
2.9065 4.0957 5.7856 H
5.0224 0.5892 0.0651 H
3.9762 1.6993 4.5128 H
6.1479 0.3123 2.2483 H
5.1017 1.9761 6.6960 H
0.3627 2.8799 6.2141 C
1.4089 3.9854 1.7664 C
3.8346 0.5915 7.1291 C
4.8807 1.6970 2.6813 C
0.5578 3.0345 1.3671 N
-0.4884 3.8307 5.8148 N
2.1097 0.0530 0.7224 N
1.0636 2.2354 5.1701 N
0.5497 2.5130 7.4902 N
1.5959 4.3523 3.0425 N
3.6476 0.2246 5.8530 N
4.6937 2.0639 1.4052 N
4.1799 2.3414 3.7254 N
3.1337 4.5239 8.1731 N
5.7318 0.7461 3.0807 N
4.6857 1.5423 7.5284 N
```

Main lines, by angle (15° ≤ 2θ ≤ 90°):
2θ 21.0, I = 15, (1 0 -2); 2θ 23.1, I = 57, (1 1 0); 2θ 24.0, I = 28, (1 1 -1); 2θ 24.9, I = 70, (2 0 0); 2θ 25.9, I = 20, (1 0 2); 2θ 26.3, I = 100, (1 1 1); 2θ 28.0, I = 15, (0 1 2); 2θ 28.2, I = 16, (2 0 -2); 2θ 28.7, I = 59, (1 1 -2); 2θ 31.6, I = 54, (2 1 -1); 2θ 40.6, I = 12, (0 0 4); 2θ 46.2, I = 16, (3 1 1)